InGaS3: calculated X-ray powder pattern (Cu Kα X-rays), based on a structure optimized by DFT (PBE).

abc: 10.0824 10.0824 6.2334
angles: 90.00 90.00 158.23
Atoms (fractional coordinates):
1 In 0.1675 0.8325 0.5000
2 In 0.8325 0.1675 0.0000
3 Ga 0.3845 0.6155 0.4446
4 Ga 0.6155 0.3845 0.9446
5 S 0.0667 0.9333 0.7938
6 S 0.2807 0.7193 0.2605
7 S 0.3952 0.6048 0.8055
8 S 0.6048 0.3952 0.3055
9 S 0.7193 0.2807 0.7605
10 S 0.9333 0.0667 0.2938

Principal peaks in the range 2θ = 10–90°, in order of rising 2θ:
17.92 deg, d 4.951, I = 70; 22.94 deg, d 3.877, I = 60; 27.83 deg, d 3.206, I = 100; 30.66 deg, d 2.916, I = 33; 33.99 deg, d 2.638, I = 24; 35.75 deg, d 2.512, I = 50; 39.79 deg, d 2.266, I = 57; 43.96 deg, d 2.060, I = 27; 47.76 deg, d 1.904, I = 66; 52.02 deg, d 1.758, I = 25